Entry 1:
Theoretical powder diffractogram of Ba2LiP2N6 for a wavelength of 1.5418 Å, from DFT lattice parameters and positions (PBE).
No peak broadening, texture or thermal motion is included.

Principal peaks in the range 10° ≤ 2θ ≤ 80°, in order of falling intensity:
31.6 deg, I 100.0; 30.1 deg, I 99.4; 20.2 deg, I 86.0; 36.5 deg, I 51.8; 44.2 deg, I 38.7; 34.1 deg, I 32.6; 15.7 deg, I 32.5; 54.4 deg, I 28.8

Structural model:
```
data_Ba2LiP2N6
_space_group_name_H-M_alt 'P 1'
_space_group_IT_number 1
_cell_length_a 6.6195
_cell_length_b 6.6195
_cell_length_c 6.6195
_cell_angle_alpha 53.33
_cell_angle_beta 53.33
_cell_angle_gamma 53.33
loop_
_space_group_symop_operation_xyz
'x,y,z'
loop_
_atom_site_label
_atom_site_type_symbol
_atom_site_fract_x
_atom_site_fract_y
_atom_site_fract_z
Ba1 Ba 0.2176 0.2176 0.2176
Ba2 Ba 0.7824 0.7824 0.7824
Li1 Li 0.0000 0.0000 0.0000
P1 P 0.4152 0.4152 0.4152
P2 P 0.5848 0.5848 0.5848
N1 N 0.2601 0.2601 0.7200
N2 N 0.2601 0.7200 0.2601
N3 N 0.2800 0.7399 0.7399
N4 N 0.7200 0.2601 0.2601
N5 N 0.7399 0.2800 0.7399
N6 N 0.7399 0.7399 0.2800
```

Entry 2:
Theoretical powder diffractogram of BaLiReN3 for a wavelength of 1.5418 Å, from DFT lattice parameters and positions (PBE).
No peak broadening, texture or thermal motion is included.

Principal peaks in the range 10° ≤ 2θ ≤ 80°, in order of falling intensity:
16.5 deg, I 100.0; 30.7 deg, I 87.1; 25.4 deg, I 83.0; 18.7 deg, I 73.5; 27.9 deg, I 73.2; 31.7 deg, I 50.2; 38.1 deg, I 48.5; 40.3 deg, I 43.4

Structural model:
```
data_BaLiReN3
_space_group_name_H-M_alt 'P 1'
_space_group_IT_number 1
_cell_length_a 5.9610
_cell_length_b 5.9610
_cell_length_c 7.4082
_cell_angle_alpha 114.16
_cell_angle_beta 114.16
_cell_angle_gamma 72.01
loop_
_space_group_symop_operation_xyz
'x,y,z'
loop_
_atom_site_label
_atom_site_type_symbol
_atom_site_fract_x
_atom_site_fract_y
_atom_site_fract_z
Ba1 Ba 0.2157 0.2157 0.2399
Ba2 Ba 0.7843 0.7843 0.7601
Li1 Li 0.1568 0.8432 0.5000
Li2 Li 0.8432 0.1568 0.5000
Re1 Re 0.4359 0.4359 0.7890
Re2 Re 0.5641 0.5641 0.2110
N1 N 0.2196 0.2196 0.6379
N2 N 0.2651 0.6849 0.2466
N3 N 0.3151 0.7349 0.7534
N4 N 0.6849 0.2651 0.2466
N5 N 0.7349 0.3151 0.7534
N6 N 0.7804 0.7804 0.3621
```

Entry 3:
Theoretical powder diffractogram of BaLiTc2N4 for a wavelength of 1.5418 Å, from DFT lattice parameters and positions (PBE).
No peak broadening, texture or thermal motion is included.

Principal peaks in the range 10° ≤ 2θ ≤ 80°, in order of falling intensity:
31.3 deg, I 100.0; 20.4 deg, I 35.5; 51.1 deg, I 27.8; 64.3 deg, I 24.7; 37.9 deg, I 21.6; 33.0 deg, I 17.7; 31.1 deg, I 16.9; 57.9 deg, I 16.8

Structural model:
```
data_BaLiTc2N4
_space_group_name_H-M_alt 'P 1'
_space_group_IT_number 1
_cell_length_a 6.3816
_cell_length_b 6.3816
_cell_length_c 6.3816
_cell_angle_alpha 136.28
_cell_angle_beta 136.28
_cell_angle_gamma 63.54
loop_
_space_group_symop_operation_xyz
'x,y,z'
loop_
_atom_site_label
_atom_site_type_symbol
_atom_site_fract_x
_atom_site_fract_y
_atom_site_fract_z
Ba1 Ba 0.0000 0.0000 0.0000
Li1 Li 0.5000 0.5000 0.0000
Tc1 Tc 0.2500 0.7500 0.5000
Tc2 Tc 0.7500 0.2500 0.5000
N1 N 0.1201 0.5514 0.0000
N2 N 0.4486 0.4486 0.5688
N3 N 0.5514 0.1201 0.0000
N4 N 0.8799 0.8799 0.4312
```